[1]
The following is a simulated powder diffraction line list of BiAs3Au. It was derived from the GGA-PBE geometry in Alexandria, using Cu Kα (weighted mean of Kα1 and Kα2).

Structural model:
```
data_BiAs3Au
_chemical_formula_sum 'Bi1 As3 Au1'
_cell_length_a 5.065
_cell_length_b 5.065
_cell_length_c 5.065
_cell_angle_alpha 90.00
_cell_angle_beta 90.00
_cell_angle_gamma 90.00
_space_group_name_H-M_alt 'P m -3 m'
_space_group_IT_number 221
_space_group_name_Hall '-P 4 2 3'
loop_
_atom_site_label
_atom_site_type_symbol
_atom_site_fract_x
_atom_site_fract_y
_atom_site_fract_z
Bi1 Bi 0.000 0.000 0.000
As1 As 0.000 0.500 0.500
Au1 Au 0.500 0.500 0.500
```

Top 10 peaks for 2θ = 15–90°, low angle first:
d (Å)  two_theta  intensity  h k l
3.582  24.86  1000  1 1 0
2.924  30.57  221  1 1 1
2.533  35.44  782  2 0 0
2.068  43.78  468  2 1 1
1.791  51.00  559  2 2 0
1.602  57.54  213  3 1 0
1.462  63.64  193  2 2 2
1.354  69.43  248  3 2 1
1.194  80.44  128  4 1 1
1.133  85.79  264  4 2 0

---

[2]
The following is a simulated powder diffraction line list of AsAu2Br. It was derived from the GGA-PBE geometry in Alexandria, using Cu Kα (weighted mean of Kα1 and Kα2).

Structural model:
```
data_AsAu2Br
_chemical_formula_sum 'As1 Au2 Br1'
_cell_length_a 3.855
_cell_length_b 3.696
_cell_length_c 7.120
_cell_angle_alpha 90.00
_cell_angle_beta 93.26
_cell_angle_gamma 90.00
_space_group_name_H-M_alt 'P 1 m 1'
_space_group_IT_number 6
loop_
_space_group_symop_operation_xyz
'x,y,z'
'x,-y,z'
loop_
_atom_site_label
_atom_site_type_symbol
_atom_site_fract_x
_atom_site_fract_y
_atom_site_fract_z
As1 As 0.000 0.000 0.000
Au1 Au 0.381 0.500 0.879
Au2 Au 0.728 0.000 0.669
Br1 Br 0.704 0.500 0.395
```

Top 10 peaks for 2θ = 15–90°, low angle first:
d (Å)  two_theta  intensity  h k l
3.849  23.11  208  1 0 0
3.307  26.96  566  1 0 1
2.666  33.62  536  1 1 0
2.562  35.03  873  0 1 2
2.540  35.33  311  1 0 2
2.529  35.50  1000  1 1 -1
2.174  41.54  255  1 1 -2
1.995  45.47  306  0 1 3
1.848  49.31  254  0 2 0
1.641  56.04  281  2 1 1

---

[3]
The following is a simulated powder diffraction line list of As2AuBr. It was derived from the GGA-PBE geometry in Alexandria, using Cu Kα (weighted mean of Kα1 and Kα2).

Structural model:
```
data_As2AuBr
_chemical_formula_sum 'As2 Au1 Br1'
_cell_length_a 4.815
_cell_length_b 3.677
_cell_length_c 6.877
_cell_angle_alpha 90.00
_cell_angle_beta 103.44
_cell_angle_gamma 90.00
_space_group_name_H-M_alt 'P 1 m 1'
_space_group_IT_number 6
loop_
_space_group_symop_operation_xyz
'x,y,z'
'x,-y,z'
loop_
_atom_site_label
_atom_site_type_symbol
_atom_site_fract_x
_atom_site_fract_y
_atom_site_fract_z
As1 As 0.000 0.000 0.000
As2 As 0.076 0.500 0.774
Au1 Au 0.543 0.500 0.676
Br1 Br 0.434 0.000 0.273
```

Top 10 peaks for 2θ = 15–90°, low angle first:
d (Å)  two_theta  intensity  h k l
4.339  20.47  411  1 0 -1
3.344  26.65  206  0 0 2
3.222  27.68  1000  0 1 1
2.526  35.54  177  1 1 1
2.474  36.31  230  0 1 2
2.464  36.46  187  1 0 2
2.362  38.10  231  1 1 -2
2.341  38.45  209  2 0 0
2.004  45.25  193  2 1 -1
1.869  48.73  187  2 1 -2

---

[4]
The following is a simulated powder diffraction line list of LaAsAuBrF. It was derived from the GGA-PBE geometry in Alexandria, using Cu Kα (weighted mean of Kα1 and Kα2).

Structural model:
```
data_LaAsAuBrF
_chemical_formula_sum 'La2 As2 Au2 Br2 F2'
_cell_length_a 4.136
_cell_length_b 4.424
_cell_length_c 14.085
_cell_angle_alpha 90.00
_cell_angle_beta 90.00
_cell_angle_gamma 90.00
_space_group_name_H-M_alt 'A m m 2'
_space_group_IT_number 38
loop_
_space_group_symop_operation_xyz
'x,y,z'
'-x,-y,z'
'-x,y,z'
'x,-y,z'
'x,y+1/2,z+1/2'
'-x,-y+1/2,z+1/2'
'-x,y+1/2,z+1/2'
'x,-y+1/2,z+1/2'
loop_
_atom_site_label
_atom_site_type_symbol
_atom_site_fract_x
_atom_site_fract_y
_atom_site_fract_z
La1 La 0.000 0.000 0.000
As1 As 0.500 0.000 0.387
Au1 Au 0.500 0.000 0.807
Br1 Br 0.000 0.000 0.651
F1 F 0.500 0.000 0.067
```

Top 10 peaks for 2θ = 15–90°, low angle first:
d (Å)  two_theta  intensity  h k l
4.221  21.05  587  0 1 1
3.566  24.97  975  1 0 2
3.220  27.71  192  0 1 3
2.681  33.42  270  1 0 4
2.541  35.33  1000  1 1 3
2.376  37.86  427  0 1 5
2.212  40.79  279  0 2 0
2.068  43.78  228  2 0 0
1.880  48.42  334  1 2 2
1.560  59.23  233  2 1 5

---

[5]
The following is a simulated powder diffraction line list of LaAsAuBrF. It was derived from the GGA-PBE geometry in Alexandria, using Cu Kα (weighted mean of Kα1 and Kα2).

Structural model:
```
data_LaAsAuBrF
_chemical_formula_sum 'La2 As2 Au2 Br2 F2'
_cell_length_a 7.338
_cell_length_b 4.220
_cell_length_c 8.680
_cell_angle_alpha 90.00
_cell_angle_beta 106.56
_cell_angle_gamma 90.00
_space_group_name_H-M_alt 'C 1 m 1'
_space_group_IT_number 8
loop_
_space_group_symop_operation_xyz
'x,y,z'
'x,-y,z'
'x+1/2,y+1/2,z'
'x+1/2,-y+1/2,z'
loop_
_atom_site_label
_atom_site_type_symbol
_atom_site_fract_x
_atom_site_fract_y
_atom_site_fract_z
La1 La 0.000 0.000 0.000
As1 As 0.069 0.500 0.710
Au1 Au 0.375 0.500 0.631
Br1 Br 0.247 0.500 0.239
F1 F 0.330 0.000 0.991
```

Top 10 peaks for 2θ = 15–90°, low angle first:
d (Å)  two_theta  intensity  h k l
4.160  21.36  292  0 0 2
3.623  24.57  1000  1 1 0
3.514  25.35  319  1 1 -1
2.773  32.28  257  0 0 3
2.561  35.03  259  2 0 -3
2.551  35.18  512  1 1 2
2.375  37.89  385  2 0 2
2.116  42.73  435  3 1 -1
2.110  42.86  216  0 2 0
1.680  54.64  230  3 1 2